[1]
Structure and theoretical powder diffractogram of Hg2Pb2W (the GGA-PBE geometry in Alexandria; Cu Kα (λ = 1.5418 Å)).

The 10 most intense peaks (2θ = 10–80°), by intensity:
d_spacing  2theta  I/Imax
2.842  31.48  100
2.172  41.58  41
2.465  36.45  38
2.374  37.89  26
1.630  56.46  22
1.351  69.57  21
1.346  69.91  16
3.276  27.22  15
1.536  60.25  14
1.638  56.15  13

Crystal structure
a b c (Å): 8.090 8.090 8.090
angles (deg): 148.85 148.85 44.64
Element x y z (fractional)
1 Hg 0.091 0.091 0.000
2 Hg 0.909 0.909 0.000
3 Pb 0.250 0.750 0.500
4 Pb 0.750 0.250 0.500
5 W 0.500 0.500 0.000

[2]
Structure and theoretical powder diffractogram of ZnHg6Pb2 (the GGA-PBE geometry in Alexandria; Cu Kα (λ = 1.5418 Å)).

The 10 most intense peaks (2θ = 10–80°), by intensity:
d_spacing  2theta  I/Imax
2.738  32.70  100
2.482  36.19  74
2.287  39.41  62
2.619  34.24  48
3.302  27.00  42
2.907  30.75  41
2.728  32.83  36
1.842  49.47  36
2.510  35.78  36
1.480  62.81  34

Crystal structure
a b c (Å): 7.969 3.685 8.758
angles (deg): 90.00 110.86 90.00
Element x y z (fractional)
1 Zn 0.000 0.000 0.000
2 Hg 0.025 0.000 0.685
3 Hg 0.301 0.500 0.966
4 Hg 0.333 0.000 0.266
5 Hg 0.667 0.000 0.734
6 Hg 0.699 0.500 0.034
7 Hg 0.975 0.000 0.315
8 Pb 0.322 0.500 0.592
9 Pb 0.678 0.500 0.408

[3]
Structure and theoretical powder diffractogram of Zn2Hg2Pb (the GGA-PBE geometry in Alexandria; Cu Kα (λ = 1.5418 Å)).

The 10 most intense peaks (2θ = 10–80°), by intensity:
d_spacing  2theta  I/Imax
2.752  32.54  100
2.184  41.34  35
1.347  69.85  23
2.966  30.13  19
3.031  29.47  18
1.772  51.58  16
1.691  54.25  14
2.120  42.65  14
2.163  41.76  12
1.544  59.90  12

Crystal structure
a b c (Å): 6.803 6.803 6.803
angles (deg): 142.55 142.55 53.99
Element x y z (fractional)
1 Zn 0.102 0.102 0.000
2 Zn 0.898 0.898 0.000
3 Hg 0.250 0.750 0.500
4 Hg 0.750 0.250 0.500
5 Pb 0.500 0.500 0.000

[4]
Structure and theoretical powder diffractogram of Zn2Hg8Pb3 (the GGA-PBE geometry in Alexandria; Cu Kα (λ = 1.5418 Å)).

The 10 most intense peaks (2θ = 10–80°), by intensity:
d_spacing  2theta  I/Imax
2.794  32.03  100
2.442  36.80  47
2.927  30.54  45
2.369  37.97  24
2.639  33.97  22
1.763  51.87  21
2.667  33.61  20
1.703  53.85  16
1.730  52.92  14
2.245  40.16  14

Crystal structure
a b c (Å): 3.460 8.014 12.312
angles (deg): 86.59 89.98 89.98
Element x y z (fractional)
1 Zn 0.002 0.100 0.077
2 Zn 0.998 0.900 0.923
3 Hg 0.000 0.300 0.666
4 Hg 0.000 0.408 0.164
5 Hg 0.000 0.592 0.836
6 Hg 0.000 0.700 0.334
7 Hg 0.499 0.717 0.079
8 Hg 0.499 0.974 0.745
9 Hg 0.501 0.026 0.255
10 Hg 0.501 0.283 0.921
11 Pb 0.000 0.000 0.500
12 Pb 0.500 0.354 0.404
13 Pb 0.500 0.646 0.596

[5]
Structure and theoretical powder diffractogram of Zr4Hg3Pb (the GGA-PBE geometry in Alexandria; Cu Kα (λ = 1.5418 Å)).

The 10 most intense peaks (2θ = 10–80°), by intensity:
d_spacing  2theta  I/Imax
2.434  36.94  100
2.570  34.91  40
2.667  33.60  33
1.456  63.93  20
2.580  34.77  20
3.700  24.05  20
2.366  38.03  16
1.332  70.75  15
1.557  59.36  13
2.151  42.01  12

Crystal structure
a b c (Å): 10.281 6.461 5.330
angles (deg): 90.00 90.00 90.00
Element x y z (fractional)
1 Zr 0.000 0.246 0.000
2 Zr 0.000 0.754 0.000
3 Zr 0.250 0.245 0.371
4 Zr 0.250 0.755 0.371
5 Zr 0.500 0.246 0.000
6 Zr 0.500 0.754 0.000
7 Zr 0.750 0.245 0.629
8 Zr 0.750 0.755 0.629
9 Hg 0.000 0.000 0.500
10 Hg 0.250 0.000 0.870
11 Hg 0.250 0.500 0.883
12 Hg 0.500 0.000 0.500
13 Hg 0.750 0.000 0.130
14 Hg 0.750 0.500 0.117
15 Pb 0.000 0.500 0.500
16 Pb 0.500 0.500 0.500

[6]
Structure and theoretical powder diffractogram of ZrHgPb (the GGA-PBE geometry in Alexandria; Cu Kα (λ = 1.5418 Å)).

The 10 most intense peaks (2θ = 10–80°), by intensity:
d_spacing  2theta  I/Imax
2.647  33.86  100
2.466  36.43  51
2.412  37.28  51
2.788  32.11  50
2.517  35.68  46
1.477  62.93  15
1.844  49.42  15
1.893  48.06  15
1.414  66.10  11
1.729  52.94  11

Crystal structure
a b c (Å): 5.614 5.626 6.001
angles (deg): 63.01 63.07 67.27
Element x y z (fractional)
1 Zr 0.000 0.000 0.000
2 Zr 0.155 0.846 0.501
3 Hg 0.636 0.695 0.043
4 Hg 0.852 0.482 0.541
5 Pb 0.287 0.380 0.008
6 Pb 0.536 0.129 0.510

[7]
Structure and theoretical powder diffractogram of Hg2Pd5 (the GGA-PBE geometry in Alexandria; Cu Kα (λ = 1.5418 Å)).

The 10 most intense peaks (2θ = 10–80°), by intensity:
d_spacing  2theta  I/Imax
2.299  39.19  100
2.969  30.10  46
2.230  40.46  44
2.592  34.61  32
1.897  47.95  31
2.386  37.69  30
2.366  38.04  28
2.220  40.64  26
4.593  19.33  16
1.341  70.15  16

Crystal structure
a b c (Å): 5.701 5.701 5.406
angles (deg): 114.48 114.48 56.15
Element x y z (fractional)
1 Hg 0.135 0.135 0.282
2 Hg 0.865 0.865 0.718
3 Pd 0.116 0.622 0.258
4 Pd 0.378 0.884 0.742
5 Pd 0.500 0.500 0.000
6 Pd 0.622 0.116 0.258
7 Pd 0.884 0.378 0.742